Starting from a crystal structure in Alexandria, relaxed with PBE, the powder diffractogram of HgBi3Se was computed for Cu Kα X-rays.

Cell and atoms:
```
data_HgBi3Se
_cell_length_a 5.626
_cell_length_b 5.626
_cell_length_c 5.626
_cell_angle_alpha 90.00
_cell_angle_beta 90.00
_cell_angle_gamma 90.00
_space_group_name_H-M_alt 'P 1'
_space_group_IT_number 1
loop_
_space_group_symop_operation_xyz
'x,y,z'
loop_
_atom_site_label
_atom_site_type_symbol
_atom_site_fract_x
_atom_site_fract_y
_atom_site_fract_z
Hg1 Hg 0.000 0.000 0.000
Bi1 Bi 0.000 0.500 0.500
Bi2 Bi 0.500 0.000 0.500
Bi3 Bi 0.500 0.500 0.000
Se1 Se 0.500 0.500 0.500
```

Most intense lines, 2θ = 10–80°, in order of rising 2θ:
15.75 deg, rel. 4
22.35 deg, rel. 3
27.46 deg, rel. 100
31.81 deg, rel. 77
45.60 deg, rel. 58
54.06 deg, rel. 49
56.67 deg, rel. 21
66.47 deg, rel. 10
73.35 deg, rel. 20
75.58 deg, rel. 27

---

Starting from a crystal structure in Alexandria, relaxed with PBE, the powder diffractogram of Hg3BiSe was computed for Cu Kα X-rays.

Cell and atoms:
```
data_Hg3BiSe
_cell_length_a 5.424
_cell_length_b 5.424
_cell_length_c 5.424
_cell_angle_alpha 90.00
_cell_angle_beta 90.00
_cell_angle_gamma 90.00
_space_group_name_H-M_alt 'P 1'
_space_group_IT_number 1
loop_
_space_group_symop_operation_xyz
'x,y,z'
loop_
_atom_site_label
_atom_site_type_symbol
_atom_site_fract_x
_atom_site_fract_y
_atom_site_fract_z
Hg1 Hg 0.000 0.000 0.500
Hg2 Hg 0.000 0.500 0.000
Hg3 Hg 0.500 0.000 0.000
Bi1 Bi 0.500 0.500 0.500
Se1 Se 0.000 0.000 0.000
```

Most intense lines, 2θ = 10–80°, in order of rising 2θ:
16.34 deg, rel. 3
23.19 deg, rel. 4
28.50 deg, rel. 100
33.03 deg, rel. 77
47.41 deg, rel. 57
56.25 deg, rel. 47
58.99 deg, rel. 20
69.30 deg, rel. 9
76.57 deg, rel. 20
78.94 deg, rel. 27